Structure and calculated powder diffractogram of K3Ac2FeO6 (the GGA+U geometry in Alexandria; copper Kα).
Kinematic intensities with the Lorentz-polarization factor, no thermal factor.

Principal peaks in the range 15 to 90 degrees two-theta, sorted by position:
- d 3.150, 2θ 28.33, I 42
- d 3.099, 2θ 28.81, I 42
- d 2.977, 2θ 30.01, I 100
- d 2.620, 2θ 34.22, I 88
- d 2.600, 2θ 34.50, I 41
- d 2.052, 2θ 44.15, I 20
- d 1.884, 2θ 48.30, I 28
- d 1.809, 2θ 50.44, I 27
- d 1.743, 2θ 52.49, I 18
- d 1.574, 2θ 58.66, I 30

Atomic structure:
abc: 6.281 6.281 6.621
angles: 98.81 98.81 120.22
Positions (direct):
K1 0.000 0.000 0.000
K2 0.347 0.653 0.000
K3 0.653 0.347 0.000
Ac1 0.167 0.833 0.500
Ac2 0.833 0.167 0.500
Fe1 0.500 0.500 0.500
O1 0.146 0.438 0.311
O2 0.266 0.266 0.685
O3 0.438 0.146 0.311
O4 0.562 0.854 0.689
O5 0.734 0.734 0.315
O6 0.854 0.562 0.689